Theoretical powder diffraction line list of KFeS2 for Cu Kα, from DFT lattice parameters and positions (GGA-PBE).

Crystal structure
abc: 6.6472 6.6472 5.3710
angles: 101.54 101.54 116.23
Fractional coordinates of all 8 atoms:
K 0.1419 0.8581 0.7500
K 0.8581 0.1419 0.2500
Fe 0.4979 0.5021 0.2500
Fe 0.5021 0.4979 0.7500
S 0.2033 0.4156 0.9028
S 0.4156 0.2033 0.4028
S 0.5844 0.7967 0.5972
S 0.7967 0.5844 0.0972

Top 6 peaks for 10 to 80 degrees two-theta, by angle:
2θ 15.72, intensity 1000; 2θ 27.40, intensity 434; 2θ 27.55, intensity 259; 2θ 30.94, intensity 403; 2θ 41.30, intensity 235; 2θ 48.49, intensity 163



Theoretical powder diffraction line list of KFe2S2 for Cu Kα, from DFT lattice parameters and positions (GGA-PBE).

Crystal structure
abc: 6.9328 6.9328 6.9328
angles: 149.11 149.11 44.26
Fractional coordinates of all 5 atoms:
K 0.0000 0.0000 0.0000
Fe 0.2500 0.7500 0.5000
Fe 0.7500 0.2500 0.5000
S 0.3414 0.3414 0.0000
S 0.6586 0.6586 0.0000

Top 6 peaks for 10 to 80 degrees two-theta, by angle:
2θ 13.79, intensity 1000; 2θ 32.00, intensity 511; 2θ 37.17, intensity 511; 2θ 44.73, intensity 248; 2θ 49.35, intensity 303; 2θ 55.50, intensity 401



Theoretical powder diffraction line list of K3Fe2S4 for Cu Kα, from DFT lattice parameters and positions (GGA-PBE).

Crystal structure
abc: 7.2153 10.7976 11.7217
angles: 90.00 90.00 90.00
Fractional coordinates of all 36 atoms:
K 0.0635 0.0755 0.1393
K 0.0635 0.4245 0.1393
K 0.0880 0.2500 0.7684
K 0.4120 0.7500 0.2684
K 0.4365 0.5755 0.6393
K 0.4365 0.9245 0.6393
K 0.5635 0.0755 0.3607
K 0.5635 0.4245 0.3607
K 0.5880 0.2500 0.7316
K 0.9120 0.7500 0.2316
K 0.9365 0.5755 0.8607
K 0.9365 0.9245 0.8607
Fe 0.0494 0.1291 0.4718
Fe 0.0494 0.3709 0.4718
Fe 0.4506 0.6291 0.9718
Fe 0.4506 0.8709 0.9718
Fe 0.5494 0.1291 0.0282
Fe 0.5494 0.3709 0.0282
Fe 0.9506 0.6291 0.5282
Fe 0.9506 0.8709 0.5282
S 0.0911 0.7500 0.6595
S 0.1483 0.5507 0.3911
S 0.1483 0.9493 0.3911
S 0.2082 0.7500 0.0332
S 0.2918 0.2500 0.5332
S 0.3517 0.0507 0.8911
S 0.3517 0.4493 0.8911
S 0.4089 0.2500 0.1595
S 0.5911 0.7500 0.8405
S 0.6483 0.5507 0.1089
S 0.6483 0.9493 0.1089
S 0.7082 0.7500 0.4668
S 0.7918 0.2500 0.9668
S 0.8517 0.0507 0.6089
S 0.8517 0.4493 0.6089
S 0.9089 0.2500 0.3405

Top 6 peaks for 10 to 80 degrees two-theta, by angle:
2θ 14.42, intensity 1000; 2θ 25.92, intensity 509; 2θ 27.23, intensity 470; 2θ 30.78, intensity 499; 2θ 31.70, intensity 408; 2θ 34.84, intensity 391



Theoretical powder diffraction line list of KFe4Sb12 for Cu Kα, from DFT lattice parameters and positions (GGA-PBE).

Crystal structure
abc: 8.0028 8.0028 8.0028
angles: 109.47 109.47 109.47
Fractional coordinates of all 17 atoms:
K 0.0000 0.0000 0.0000
Fe 0.0000 0.0000 0.5000
Fe 0.0000 0.5000 0.0000
Fe 0.5000 0.0000 0.0000
Fe 0.5000 0.5000 0.5000
Sb 0.1616 0.3368 0.4984
Sb 0.1616 0.6632 0.8249
Sb 0.1751 0.8384 0.3368
Sb 0.3368 0.1751 0.8384
Sb 0.3368 0.4984 0.1616
Sb 0.4984 0.1616 0.3368
Sb 0.5016 0.8384 0.6632
Sb 0.6632 0.5016 0.8384
Sb 0.6632 0.8249 0.1616
Sb 0.8249 0.1616 0.6632
Sb 0.8384 0.3368 0.1751
Sb 0.8384 0.6632 0.5016

Top 6 peaks for 10 to 80 degrees two-theta, by angle:
2θ 30.59, intensity 1000; 2θ 36.38, intensity 399; 2θ 43.81, intensity 192; 2θ 50.35, intensity 216; 2θ 58.21, intensity 179; 2θ 68.92, intensity 182



Theoretical powder diffraction line list of K3Fe8Se8 for Cu Kα, from DFT lattice parameters and positions (GGA-PBE).

Crystal structure
abc: 7.4512 8.0896 8.2116
angles: 71.98 63.06 76.65
Fractional coordinates of all 19 atoms:
K 0.0000 0.0000 0.0000
K 0.2633 0.0001 0.4737
K 0.7367 0.9999 0.5263
Fe 0.0628 0.4995 0.6245
Fe 0.1870 0.4996 0.8749
Fe 0.3121 0.4992 0.1249
Fe 0.4372 0.5013 0.3751
Fe 0.5628 0.4987 0.6249
Fe 0.6879 0.5008 0.8751
Fe 0.8130 0.5004 0.1251
Fe 0.9372 0.5005 0.3755
Se 0.0876 0.2860 0.1796
Se 0.1609 0.7144 0.3195
Se 0.3378 0.2855 0.6801
Se 0.4101 0.7131 0.8203
Se 0.5899 0.2869 0.1797
Se 0.6622 0.7145 0.3199
Se 0.8391 0.2856 0.6805
Se 0.9124 0.7140 0.8204

Top 6 peaks for 10 to 80 degrees two-theta, by angle:
2θ 11.57, intensity 1000; 2θ 29.70, intensity 421; 2θ 30.00, intensity 209; 2θ 30.11, intensity 199; 2θ 36.36, intensity 201; 2θ 41.87, intensity 431



Theoretical powder diffraction line list of KFe2Se2 for Cu Kα, from DFT lattice parameters and positions (GGA-PBE).

Crystal structure
abc: 7.9189 7.9189 7.9189
angles: 152.36 152.36 39.49
Fractional coordinates of all 5 atoms:
K 0.0000 0.0000 0.0000
Fe 0.2500 0.7500 0.5000
Fe 0.7500 0.2500 0.5000
Se 0.3588 0.3588 0.0000
Se 0.6412 0.6412 0.0000

Top 6 peaks for 10 to 80 degrees two-theta, by angle:
2θ 11.87, intensity 796; 2θ 29.68, intensity 1000; 2θ 35.66, intensity 293; 2θ 41.55, intensity 593; 2θ 48.10, intensity 378; 2θ 50.11, intensity 407



Theoretical powder diffraction line list of K2Fe5Se5 for Cu Kα, from DFT lattice parameters and positions (GGA-PBE).

Crystal structure
abc: 9.6252 9.6252 9.6252
angles: 128.85 128.85 75.25
Fractional coordinates of all 24 atoms:
K 0.1204 0.6930 0.8134
K 0.3070 0.1204 0.4273
K 0.6930 0.8796 0.5727
K 0.8796 0.3070 0.1866
Fe 0.0509 0.3489 0.9013
Fe 0.1497 0.0509 0.7020
Fe 0.2500 0.7500 0.5000
Fe 0.3489 0.4476 0.2980
Fe 0.4476 0.1497 0.0987
Fe 0.5524 0.8503 0.9013
Fe 0.6511 0.5524 0.7020
Fe 0.7500 0.2500 0.5000
Fe 0.8503 0.9491 0.2980
Fe 0.9491 0.6511 0.0987
Se 0.0555 0.2573 0.6000
Se 0.1398 0.1398 0.0000
Se 0.2573 0.6573 0.2018
Se 0.3427 0.5446 0.6000
Se 0.4554 0.0555 0.7982
Se 0.5446 0.9445 0.2018
Se 0.6573 0.4554 0.4000
Se 0.7427 0.3427 0.7982
Se 0.8602 0.8602 0.0000
Se 0.9445 0.7427 0.4000

Top 6 peaks for 10 to 80 degrees two-theta, by angle:
2θ 11.61, intensity 1000; 2θ 29.78, intensity 900; 2θ 41.75, intensity 605; 2θ 49.02, intensity 324; 2θ 49.92, intensity 399; 2θ 58.42, intensity 239



Theoretical powder diffraction line list of KFe2Se3 for Cu Kα, from DFT lattice parameters and positions (GGA-PBE).

Crystal structure
abc: 7.3095 7.3095 5.3595
angles: 90.00 90.00 102.90
Fractional coordinates of all 12 atoms:
K 0.1664 0.8336 0.7500
K 0.8336 0.1664 0.2500
Fe 0.3564 0.3564 0.0000
Fe 0.3564 0.3564 0.5000
Fe 0.6436 0.6436 0.0000
Fe 0.6436 0.6436 0.5000
Se 0.1042 0.3296 0.7500
Se 0.3296 0.1042 0.2500
Se 0.3816 0.6184 0.2500
Se 0.6184 0.3816 0.7500
Se 0.6704 0.8958 0.7500
Se 0.8958 0.6704 0.2500

Top 6 peaks for 10 to 80 degrees two-theta, by angle:
2θ 12.42, intensity 466; 2θ 15.50, intensity 320; 2θ 30.12, intensity 1000; 2θ 45.85, intensity 212; 2θ 46.45, intensity 295; 2θ 52.75, intensity 166



Theoretical powder diffraction line list of KFeTc2 for Cu Kα, from DFT lattice parameters and positions (GGA-PBE).

Crystal structure
abc: 4.4719 4.4719 4.4719
angles: 60.00 60.00 60.00
Fractional coordinates of all 4 atoms:
K 0.0000 0.0000 0.0000
Fe 0.2500 0.2500 0.2500
Tc 0.5000 0.5000 0.5000
Tc 0.7500 0.7500 0.7500

Top 6 peaks for 10 to 80 degrees two-theta, by angle:
2θ 24.38, intensity 148; 2θ 40.34, intensity 1000; 2θ 47.69, intensity 77; 2θ 58.37, intensity 160; 2θ 64.19, intensity 33; 2θ 73.34, intensity 313